Computed X-ray diffraction stick pattern
Compound: MnH2SeO5
Radiation: CuKα
Structure: a PBE+U-relaxed structure
Lines closer than 0.1° are merged.

```
data_MnH2SeO5
_chemical_formula_sum 'Mn4 H8 Se4 O20'
_cell_length_a 7.1356
_cell_length_b 8.4481
_cell_length_c 8.0475
_cell_angle_alpha 90.00
_cell_angle_beta 115.49
_cell_angle_gamma 90.00
_space_group_name_H-M_alt 'C 1 2/c 1'
_space_group_IT_number 15
_space_group_name_Hall '-C 2yc'
loop_
_atom_site_label
_atom_site_type_symbol
_atom_site_fract_x
_atom_site_fract_y
_atom_site_fract_z
_atom_site_occupancy
Mn1 Mn 0.2500 0.2500 0.0000 1
H1 H 0.0863 0.0440 0.7096 1
Se1 Se 0.0000 0.4164 0.2500 1
O1 O 0.0000 0.1136 0.7500 1
O2 O 0.0144 0.3040 0.0861 1
O3 O 0.2131 0.4674 0.8404 1
```

The 10 most intense peaks (10 to 80 degrees two-theta), low angle first:
| Position (°2θ) | Rel. int. |
| --- | --- |
| 17.31 | 62 |
| 24.42 | 100 |
| 24.73 | 34 |
| 28.02 | 33 |
| 32.51 | 40 |
| 32.86 | 24 |
| 34.83 | 22 |
| 39.78 | 14 |
| 41.19 | 16 |
| 56.42 | 14 |



Computed X-ray diffraction stick pattern
Compound: Mn2SiH4O6
Radiation: CuKα
Structure: a PBE+U-relaxed structure
Lines closer than 0.1° are merged.

```
data_Mn2SiH4O6
_chemical_formula_sum 'Mn8 Si4 H16 O24'
_cell_length_a 12.8874
_cell_length_b 7.3031
_cell_length_c 5.4122
_cell_angle_alpha 90.00
_cell_angle_beta 90.00
_cell_angle_gamma 90.00
_space_group_name_H-M_alt 'P c a 21'
_space_group_IT_number 29
_space_group_name_Hall 'P 2c -2ac'
loop_
_atom_site_label
_atom_site_type_symbol
_atom_site_fract_x
_atom_site_fract_y
_atom_site_fract_z
_atom_site_occupancy
Mn1 Mn 0.0411 0.1695 0.0000 1
Mn2 Mn 0.1879 0.1762 0.5211 1
Si1 Si 0.1859 0.7849 0.2066 1
H1 H 0.0003 0.3344 0.4937 1
H2 H 0.0652 0.4798 0.3202 1
H3 H 0.1185 0.8897 0.7706 1
H4 H 0.1832 0.4515 0.8732 1
O1 O 0.0533 0.3431 0.3559 1
O2 O 0.0736 0.6881 0.2490 1
O3 O 0.0746 0.9835 0.6954 1
O4 O 0.1774 0.3180 0.8685 1
O5 O 0.1822 0.0079 0.1948 1
O6 O 0.2319 0.7148 0.9296 1
```

The 10 most intense peaks (10 to 80 degrees two-theta), low angle first:
| Position (°2θ) | Rel. int. |
| --- | --- |
| 12.12 | 100 |
| 13.94 | 25 |
| 24.38 | 48 |
| 29.22 | 91 |
| 34.65 | 40 |
| 36.07 | 37 |
| 36.31 | 54 |
| 49.88 | 41 |
| 50.43 | 24 |
| 58.65 | 25 |



Computed X-ray diffraction stick pattern
Compound: SrMn2Si2H4O10
Radiation: CuKα
Structure: a PBE+U-relaxed structure
Lines closer than 0.1° are merged.

```
data_SrMn2Si2H4O10
_chemical_formula_sum 'Sr2 Mn4 Si4 H8 O20'
_cell_length_a 5.5392
_cell_length_b 13.5716
_cell_length_c 5.6422
_cell_angle_alpha 90.00
_cell_angle_beta 111.44
_cell_angle_gamma 90.00
_space_group_name_H-M_alt 'P 1 21/m 1'
_space_group_IT_number 11
_space_group_name_Hall '-P 2yb'
loop_
_atom_site_label
_atom_site_type_symbol
_atom_site_fract_x
_atom_site_fract_y
_atom_site_fract_z
_atom_site_occupancy
Sr1 Sr 0.1961 0.2500 0.3167 1
Mn1 Mn 0.0000 0.0000 0.0000 1
Mn2 Mn 0.5000 0.0000 0.5000 1
Si1 Si 0.4760 0.6319 0.0298 1
H1 H 0.0310 0.5583 0.4614 1
H2 H 0.1458 0.6894 0.3542 1
O1 O 0.1211 0.7500 0.4398 1
O2 O 0.1400 0.5545 0.3584 1
O3 O 0.1591 0.6143 0.9079 1
O4 O 0.3690 0.0775 0.1309 1
O5 O 0.3985 0.1118 0.6596 1
O6 O 0.4702 0.2500 0.0075 1
```

The 10 most intense peaks (10 to 80 degrees two-theta), low angle first:
| Position (°2θ) | Rel. int. |
| --- | --- |
| 18.11 | 25 |
| 18.41 | 25 |
| 19.22 | 31 |
| 20.31 | 26 |
| 23.30 | 28 |
| 26.23 | 37 |
| 31.34 | 100 |
| 32.76 | 81 |
| 37.31 | 35 |
| 49.63 | 26 |



Computed X-ray diffraction stick pattern
Compound: MnZn2SiH2O6
Radiation: CuKα
Structure: a PBE+U-relaxed structure
Lines closer than 0.1° are merged.

```
data_MnZn2SiH2O6
_chemical_formula_sum 'Mn4 Zn8 Si4 H8 O24'
_cell_length_a 11.6671
_cell_length_b 5.3177
_cell_length_c 8.8915
_cell_angle_alpha 90.00
_cell_angle_beta 99.28
_cell_angle_gamma 90.00
_space_group_name_H-M_alt 'P 1 21/c 1'
_space_group_IT_number 14
_space_group_name_Hall '-P 2ybc'
loop_
_atom_site_label
_atom_site_type_symbol
_atom_site_fract_x
_atom_site_fract_y
_atom_site_fract_z
_atom_site_occupancy
Mn1 Mn 0.1107 0.1405 0.4897 1
Zn1 Zn 0.1696 0.6446 0.3051 1
Zn2 Zn 0.3939 0.6106 0.0888 1
Si1 Si 0.3450 0.1616 0.3072 1
H1 H 0.1153 0.6285 0.5547 1
H2 H 0.4244 0.0909 0.0915 1
O1 O 0.0589 0.6382 0.1253 1
O2 O 0.1641 0.5043 0.5039 1
O3 O 0.2520 0.5203 0.8772 1
O4 O 0.3003 0.0736 0.7228 1
O5 O 0.4074 0.5113 0.6825 1
O6 O 0.4458 0.2129 0.4589 1
```

The 10 most intense peaks (10 to 80 degrees two-theta), low angle first:
| Position (°2θ) | Rel. int. |
| --- | --- |
| 19.52 | 60 |
| 21.60 | 26 |
| 27.47 | 58 |
| 28.38 | 41 |
| 28.89 | 100 |
| 31.07 | 47 |
| 33.04 | 27 |
| 35.27 | 39 |
| 35.47 | 29 |
| 39.38 | 28 |



Computed X-ray diffraction stick pattern
Compound: MnZn2SiH2O6
Radiation: CuKα
Structure: a PBE+U-relaxed structure
Lines closer than 0.1° are merged.

```
data_MnZn2SiH2O6
_chemical_formula_sum 'Mn4 Zn8 Si4 H8 O24'
_cell_length_a 11.8828
_cell_length_b 5.3707
_cell_length_c 8.3210
_cell_angle_alpha 90.00
_cell_angle_beta 95.54
_cell_angle_gamma 90.00
_space_group_name_H-M_alt 'P 1 21/c 1'
_space_group_IT_number 14
_space_group_name_Hall '-P 2ybc'
loop_
_atom_site_label
_atom_site_type_symbol
_atom_site_fract_x
_atom_site_fract_y
_atom_site_fract_z
_atom_site_occupancy
Mn1 Mn 0.0438 0.2453 0.1066 1
Zn1 Zn 0.2509 0.5643 0.8886 1
Zn2 Zn 0.4206 0.5663 0.2268 1
Si1 Si 0.3288 0.0685 0.0678 1
H1 H 0.1334 0.0412 0.8597 1
H2 H 0.1409 0.7213 0.0893 1
O1 O 0.0546 0.0961 0.8506 1
O2 O 0.1178 0.5896 0.0112 1
O3 O 0.2138 0.0379 0.1633 1
O4 O 0.3073 0.5745 0.3913 1
O5 O 0.3615 0.1371 0.5382 1
O6 O 0.4333 0.5699 0.6810 1
```

The 10 most intense peaks (10 to 80 degrees two-theta), low angle first:
| Position (°2θ) | Rel. int. |
| --- | --- |
| 23.44 | 37 |
| 24.19 | 40 |
| 27.19 | 47 |
| 29.31 | 37 |
| 29.74 | 82 |
| 30.91 | 100 |
| 34.24 | 39 |
| 38.07 | 39 |
| 58.91 | 57 |
| 65.40 | 42 |



Computed X-ray diffraction stick pattern
Compound: Mn5V2H4O12
Radiation: CuKα
Structure: a PBE+U-relaxed structure
Lines closer than 0.1° are merged.

```
data_Mn5V2H4O12
_chemical_formula_sum 'Mn10 V4 H8 O24'
_cell_length_a 9.8020
_cell_length_b 9.6970
_cell_length_c 5.4810
_cell_angle_alpha 90.00
_cell_angle_beta 99.23
_cell_angle_gamma 90.00
_space_group_name_H-M_alt 'C 1 2/m 1'
_space_group_IT_number 12
_space_group_name_Hall '-C 2y'
loop_
_atom_site_label
_atom_site_type_symbol
_atom_site_fract_x
_atom_site_fract_y
_atom_site_fract_z
_atom_site_occupancy
Mn1 Mn 0.0000 0.0000 0.0000 1
Mn2 Mn 0.0000 0.1823 0.5000 1
Mn3 Mn 0.0000 0.3469 0.0000 1
V1 V 0.1876 0.5000 0.5547 1
H1 H 0.2044 0.1623 0.8679 1
O1 O 0.1056 0.1725 0.8671 1
O2 O 0.1258 0.5000 0.8406 1
O3 O 0.1281 0.0000 0.3846 1
O4 O 0.1296 0.3544 0.3779 1
```

The 10 most intense peaks (10 to 80 degrees two-theta), low angle first:
| Position (°2θ) | Rel. int. |
| --- | --- |
| 18.34 | 92 |
| 26.02 | 29 |
| 29.18 | 25 |
| 31.31 | 24 |
| 32.84 | 100 |
| 33.12 | 49 |
| 40.75 | 35 |
| 41.13 | 55 |
| 58.00 | 41 |
| 60.55 | 34 |



Computed X-ray diffraction stick pattern
Compound: Mo4H8N2O13
Radiation: CuKα
Structure: a PBE+U-relaxed structure
Lines closer than 0.1° are merged.

```
data_Mo4H8N2O13
_chemical_formula_sum 'Mo8 H16 N4 O26'
_cell_length_a 8.4261
_cell_length_b 8.4866
_cell_length_c 10.4194
_cell_angle_alpha 104.16
_cell_angle_beta 106.00
_cell_angle_gamma 109.93
_space_group_name_H-M_alt 'P -1'
_space_group_IT_number 2
_space_group_name_Hall '-P 1'
loop_
_atom_site_label
_atom_site_type_symbol
_atom_site_fract_x
_atom_site_fract_y
_atom_site_fract_z
_atom_site_occupancy
Mo1 Mo 0.0610 0.3807 0.2723 1
Mo2 Mo 0.0780 0.9950 0.2927 1
Mo3 Mo 0.2261 0.6506 0.0537 1
Mo4 Mo 0.2267 0.0394 0.0394 1
H1 H 0.1856 0.7799 0.5707 1
H2 H 0.2441 0.3782 0.6651 1
H3 H 0.3182 0.9479 0.5342 1
H4 H 0.3504 0.7577 0.5139 1
H5 H 0.4096 0.9055 0.6799 1
H6 H 0.4120 0.5883 0.7134 1
H7 H 0.4414 0.4588 0.8048 1
H8 H 0.4420 0.4043 0.6382 1
N1 N 0.3156 0.8470 0.5742 1
N2 N 0.3846 0.4562 0.7030 1
O1 O 0.0033 0.8129 0.6591 1
O2 O 0.0298 0.1603 0.6416 1
O3 O 0.0485 0.5096 0.6510 1
O4 O 0.0710 0.4805 0.1163 1
O5 O 0.1016 0.1490 0.1328 1
O6 O 0.1229 0.8589 0.1423 1
O7 O 0.2129 0.1211 0.8978 1
O8 O 0.2187 0.8051 0.9344 1
O9 O 0.2942 0.5122 0.3836 1
O10 O 0.2953 0.5155 0.9518 1
O11 O 0.3041 0.1143 0.4241 1
O12 O 0.4217 0.7788 0.2113 1
O13 O 0.4539 0.1603 0.1632 1
```

The 10 most intense peaks (10 to 80 degrees two-theta), low angle first:
| Position (°2θ) | Rel. int. |
| --- | --- |
| 12.15 | 100 |
| 18.20 | 11 |
| 21.66 | 14 |
| 24.42 | 29 |
| 25.38 | 21 |
| 26.50 | 17 |
| 29.67 | 24 |
| 29.90 | 22 |
| 36.91 | 13 |
| 43.38 | 11 |